# UTe4Br5
Simulated PXRD pattern, Cu Kα (weighted mean of Kα1 and Kα2). Input: a DFT-relaxed cell (PBE, the Materials Project).
Intensities are scaled so that the largest is 100.

Structure:
Lattice parameters (Å, degrees): 9.104 12.543 14.096 80.69 77.01 78.95
Fractional positions:
U  0.085  0.281  0.262
U  0.368  0.805  0.805
U  0.632  0.195  0.195
U  0.915  0.719  0.738
Te  0.000  0.154  0.684
Te  0.000  0.846  0.316
Te  0.003  0.792  0.142
Te  0.224  0.357  0.795
Te  0.237  0.674  0.381
Te  0.328  0.326  0.593
Te  0.380  0.608  0.196
Te  0.424  0.826  0.386
Te  0.460  0.223  0.876
Te  0.540  0.777  0.124
Te  0.576  0.174  0.614
Te  0.620  0.392  0.804
Te  0.672  0.674  0.407
Te  0.763  0.326  0.619
Te  0.776  0.643  0.205
Te  0.997  0.208  0.858
Br  0.003  0.481  0.357
Br  0.031  0.853  0.848
Br  0.051  0.136  0.430
Br  0.127  0.417  0.092
Br  0.252  0.675  0.689
Br  0.292  0.926  0.967
Br  0.345  0.124  0.181
Br  0.353  0.975  0.654
Br  0.366  0.320  0.320
Br  0.378  0.621  0.936
Br  0.622  0.379  0.064
Br  0.634  0.680  0.680
Br  0.647  0.025  0.346
Br  0.655  0.876  0.819
Br  0.708  0.074  0.033
Br  0.748  0.325  0.311
Br  0.873  0.583  0.908
Br  0.949  0.864  0.570
Br  0.969  0.147  0.152
Br  0.997  0.519  0.643

Largest 8 diffraction maxima, low angle first, 2θ = 5–70°:
d 6.813, I = 100
d 6.107, I = 98
d 4.438, I = 32
d 3.996, I = 39
d 3.255, I = 37
d 3.146, I = 43
d 2.862, I = 51
d 2.791, I = 33

***

# Na6SN4
Simulated PXRD pattern, Cu Kα (weighted mean of Kα1 and Kα2). Input: a DFT-relaxed cell (PBE, the Materials Project).
Intensities are scaled so that the largest is 100.

Structure:
Lattice parameters (Å, degrees): 7.143 7.143 5.841 90.00 90.00 90.00
Fractional positions:
Na  0.045  0.545  0.250
Na  0.045  0.955  0.250
Na  0.250  0.250  0.052
Na  0.250  0.250  0.552
Na  0.455  0.545  0.250
Na  0.455  0.955  0.250
Na  0.545  0.045  0.750
Na  0.545  0.455  0.750
Na  0.750  0.750  0.448
Na  0.750  0.750  0.948
Na  0.955  0.045  0.750
Na  0.955  0.455  0.750
S  0.250  0.750  0.750
S  0.750  0.250  0.250
N  0.059  0.750  0.591
N  0.250  0.559  0.909
N  0.250  0.941  0.909
N  0.441  0.750  0.591
N  0.559  0.250  0.409
N  0.750  0.059  0.091
N  0.750  0.441  0.091
N  0.941  0.250  0.409

Largest 8 diffraction maxima, low angle first, 2θ = 5–70°:
d 4.521, I = 38
d 2.803, I = 61
d 2.527, I = 100
d 2.260, I = 70
d 2.205, I = 67
d 2.155, I = 33
d 1.786, I = 49
d 1.459, I = 32

***

# Li3BiO3
Simulated PXRD pattern, Cu Kα (weighted mean of Kα1 and Kα2). Input: a DFT-relaxed cell (PBE, the Materials Project).
Intensities are scaled so that the largest is 100.

Structure:
Lattice parameters (Å, degrees): 10.574 10.574 10.574 97.34 97.34 138.12
Fractional positions:
Li  0.021  0.649  0.099
Li  0.028  0.116  0.368
Li  0.071  0.105  0.879
Li  0.170  0.728  0.376
Li  0.220  0.997  0.217
Li  0.226  0.191  0.121
Li  0.352  0.793  0.624
Li  0.399  0.800  0.127
Li  0.410  0.278  0.412
Li  0.478  0.602  0.058
Li  0.479  0.014  0.384
Li  0.543  0.420  0.942
Li  0.550  0.922  0.901
Li  0.630  0.095  0.616
Li  0.672  0.271  0.873
Li  0.747  0.030  0.277
Li  0.748  0.660  0.632
Li  0.753  0.470  0.723
Li  0.764  0.880  0.035
Li  0.780  0.003  0.783
Li  0.845  0.729  0.965
Li  0.855  0.476  0.535
Li  0.866  0.998  0.588
Li  0.941  0.321  0.465
Bi  0.044  0.416  0.816
Bi  0.166  0.850  0.872
Bi  0.271  0.081  0.621
Bi  0.400  0.521  0.690
Bi  0.460  0.650  0.379
Bi  0.600  0.227  0.184
Bi  0.831  0.710  0.310
Bi  0.977  0.294  0.128
O  0.009  0.138  0.033
O  0.044  0.298  0.330
O  0.048  0.218  0.754
O  0.105  0.976  0.967
O  0.124  0.022  0.345
O  0.314  0.902  0.185
O  0.335  0.587  0.167
O  0.337  0.670  0.752
O  0.351  0.965  0.546
O  0.419  0.805  0.454
O  0.420  0.168  0.833
O  0.464  0.294  0.246
O  0.528  0.374  0.602
O  0.555  0.601  0.886
O  0.652  0.966  0.087
O  0.677  0.778  0.655
O  0.715  0.669  0.114
O  0.716  0.129  0.815
O  0.726  0.259  0.371
O  0.772  0.927  0.398
O  0.879  0.564  0.913
O  0.888  0.355  0.629
O  0.918  0.585  0.248
O  0.968  0.714  0.670

Largest 8 diffraction maxima, low angle first, 2θ = 5–70°:
d 4.938, I = 16
d 4.815, I = 100
d 3.123, I = 43
d 2.871, I = 55
d 2.620, I = 34
d 2.337, I = 19
d 1.871, I = 15
d 1.750, I = 18

***

# Hf2OsPd
Simulated PXRD pattern, Cu Kα (weighted mean of Kα1 and Kα2). Input: a DFT-relaxed cell (PBE, the Materials Project).
Intensities are scaled so that the largest is 100.

Structure:
Lattice parameters (Å, degrees): 4.654 4.654 4.654 60.00 60.00 60.00
Fractional positions:
Hf  0.250  0.250  0.250
Hf  0.750  0.750  0.750
Os  0.000  0.000  0.000
Pd  0.500  0.500  0.500

Largest 6 diffraction maxima, low angle first, 2θ = 5–70°:
d 3.800, I = 3
d 3.291, I = 1
d 2.327, I = 100
d 1.985, I = 2
d 1.646, I = 17
d 1.510, I = 1

***

# Tb5Bi3
Simulated PXRD pattern, Cu Kα (weighted mean of Kα1 and Kα2). Input: a DFT-relaxed cell (PBE, the Materials Project).
Intensities are scaled so that the largest is 100.

Structure:
Lattice parameters (Å, degrees): 12.165 9.547 8.364 90.00 90.00 90.00
Fractional positions:
Tb  0.004  0.250  0.025
Tb  0.066  0.061  0.692
Tb  0.066  0.439  0.692
Tb  0.209  0.750  0.343
Tb  0.230  0.250  0.328
Tb  0.270  0.750  0.828
Tb  0.291  0.250  0.843
Tb  0.434  0.561  0.192
Tb  0.434  0.939  0.192
Tb  0.496  0.750  0.525
Tb  0.504  0.250  0.475
Tb  0.566  0.061  0.808
Tb  0.566  0.439  0.808
Tb  0.709  0.750  0.157
Tb  0.730  0.250  0.172
Tb  0.770  0.750  0.672
Tb  0.791  0.250  0.657
Tb  0.934  0.561  0.308
Tb  0.934  0.939  0.308
Tb  0.996  0.750  0.975
Bi  0.025  0.750  0.597
Bi  0.175  0.508  0.066
Bi  0.175  0.992  0.066
Bi  0.325  0.008  0.566
Bi  0.325  0.492  0.566
Bi  0.475  0.250  0.097
Bi  0.525  0.750  0.903
Bi  0.675  0.508  0.434
Bi  0.675  0.992  0.434
Bi  0.825  0.008  0.934
Bi  0.825  0.492  0.934
Bi  0.975  0.250  0.403

Largest 8 diffraction maxima, low angle first, 2θ = 5–70°:
d 3.045, I = 100
d 2.911, I = 27
d 2.899, I = 60
d 2.858, I = 58
d 2.794, I = 90
d 2.717, I = 34
d 2.565, I = 42
d 2.387, I = 45

***

# Hf2TcRu
Simulated PXRD pattern, Cu Kα (weighted mean of Kα1 and Kα2). Input: a DFT-relaxed cell (PBE, the Materials Project).
Intensities are scaled so that the largest is 100.

Structure:
Lattice parameters (Å, degrees): 4.596 4.596 4.596 60.00 60.00 60.00
Fractional positions:
Hf  0.250  0.250  0.250
Hf  0.750  0.750  0.750
Tc  0.000  0.000  0.000
Ru  0.500  0.500  0.500

Largest 5 diffraction maxima, low angle first, 2θ = 5–70°:
d 3.250, I = 9
d 2.298, I = 100
d 1.876, I = 3
d 1.625, I = 17
d 1.453, I = 4

***

# VFe2N3
Simulated PXRD pattern, Cu Kα (weighted mean of Kα1 and Kα2). Input: a DFT-relaxed cell (PBE, the Materials Project).
Intensities are scaled so that the largest is 100.

Structure:
Lattice parameters (Å, degrees): 5.301 5.301 4.925 90.00 90.00 59.33
Fractional positions:
V  0.180  0.820  0.500
V  0.820  0.180  0.000
Fe  0.201  0.491  0.020
Fe  0.491  0.201  0.520
Fe  0.509  0.799  0.020
Fe  0.799  0.509  0.520
N  0.136  0.501  0.388
N  0.172  0.828  0.884
N  0.499  0.864  0.388
N  0.501  0.136  0.888
N  0.828  0.172  0.384
N  0.864  0.499  0.888

Largest 8 diffraction maxima, low angle first, 2θ = 5–70°:
d 2.650, I = 66
d 2.624, I = 21
d 2.463, I = 66
d 2.334, I = 100
d 2.316, I = 67
d 1.804, I = 28
d 1.520, I = 30
d 1.396, I = 31

***

# Cs2RbEuCl6
Simulated PXRD pattern, Cu Kα (weighted mean of Kα1 and Kα2). Input: a DFT-relaxed cell (PBE, the Materials Project).
Intensities are scaled so that the largest is 100.

Structure:
Lattice parameters (Å, degrees): 8.269 8.269 8.269 60.00 60.00 60.00
Fractional positions:
Cs  0.250  0.250  0.250
Cs  0.750  0.750  0.750
Rb  0.000  0.000  0.000
Eu  0.500  0.500  0.500
Cl  0.268  0.268  0.732
Cl  0.268  0.732  0.268
Cl  0.268  0.732  0.732
Cl  0.732  0.268  0.268
Cl  0.732  0.268  0.732
Cl  0.732  0.732  0.268

Largest 8 diffraction maxima, low angle first, 2θ = 5–70°:
d 4.135, I = 100
d 3.376, I = 13
d 2.924, I = 58
d 2.387, I = 47
d 2.067, I = 40
d 1.849, I = 24
d 1.688, I = 13
d 1.563, I = 27

***

# NaOs3N6
Simulated PXRD pattern, Cu Kα (weighted mean of Kα1 and Kα2). Input: a DFT-relaxed cell (PBE, the Materials Project).
Intensities are scaled so that the largest is 100.

Structure:
Lattice parameters (Å, degrees): 5.522 5.362 10.381 90.00 116.12 90.00
Fractional positions:
Na  0.000  0.000  0.000
Na  0.000  0.500  0.500
Os  0.184  0.005  0.753
Os  0.184  0.495  0.253
Os  0.500  0.000  0.500
Os  0.500  0.500  0.000
Os  0.816  0.505  0.747
Os  0.816  0.995  0.247
N  0.165  0.168  0.329
N  0.165  0.332  0.829
N  0.298  0.005  0.618
N  0.298  0.495  0.118
N  0.345  0.685  0.408
N  0.345  0.815  0.908
N  0.655  0.185  0.092
N  0.655  0.315  0.592
N  0.702  0.505  0.882
N  0.702  0.995  0.382
N  0.835  0.668  0.171
N  0.835  0.832  0.671

Largest 8 diffraction maxima, low angle first, 2θ = 5–70°:
d 4.652, I = 38
d 4.535, I = 53
d 3.071, I = 100
d 2.864, I = 69
d 2.747, I = 22
d 2.682, I = 42
d 2.419, I = 26
d 1.759, I = 21

***

# Nd4Zn3Au5
Simulated PXRD pattern, Cu Kα (weighted mean of Kα1 and Kα2). Input: a DFT-relaxed cell (PBE, the Materials Project).
Intensities are scaled so that the largest is 100.

Structure:
Lattice parameters (Å, degrees): 7.202 4.649 8.089 90.00 90.26 90.00
Fractional positions:
Nd  0.000  0.000  0.000
Nd  0.009  0.500  0.566
Nd  0.494  0.000  0.072
Nd  0.510  0.500  0.493
Zn  0.314  0.000  0.707
Zn  0.703  0.500  0.863
Zn  0.804  0.000  0.364
Au  0.215  0.500  0.194
Au  0.223  0.000  0.389
Au  0.294  0.500  0.855
Au  0.726  0.000  0.695
Au  0.778  0.500  0.194

Largest 8 diffraction maxima, low angle first, 2θ = 5–70°:
d 3.516, I = 19
d 2.811, I = 34
d 2.691, I = 91
d 2.683, I = 100
d 2.332, I = 98
d 2.325, I = 57
d 1.760, I = 27
d 1.423, I = 26